Entry 1:
Structure and simulated X-ray powder pattern of Y2Si3Pt3 (a cell relaxed with PBE; Cu Kα (weighted mean of Kα1 and Kα2)).
Neutral-atom scattering factors, no anomalous dispersion.

Top 12 peaks for 2θ = 10–90°, by intensity:
d_spacing  2θ (°)  Rel. int.
2.847  31.43  100.0
6.802  13.01  61.7
1.900  47.88  51.2
2.013  45.04  36.9
4.081  21.78  34.3
2.335  38.56  33.2
2.551  35.18  30.6
1.580  58.40  28.3
2.626  34.14  26.3
1.139  85.19  19.9
1.273  74.54  16.7
1.805  50.56  15.6

Structure:
a = 2.8466 Å, b = 2.8466 Å, c = 20.4073 Å
α = 90.00°, β = 90.00°, γ = 90.00°
Positions (direct):
Y  0.0000  0.0000  0.2479
Y  0.0000  0.0000  0.7521
Si  0.0000  0.0000  0.0000
Si  0.0000  0.0000  0.3855
Si  0.0000  0.0000  0.6145
Pt  0.0000  0.0000  0.1131
Pt  0.0000  0.0000  0.5000
Pt  0.0000  0.0000  0.8869

***

Entry 2:
Structure and simulated X-ray powder pattern of YSi4Pt2 (a cell relaxed with PBE; Cu Kα (weighted mean of Kα1 and Kα2)).
Neutral-atom scattering factors, no anomalous dispersion.

Top 12 peaks for 2θ = 10–90°, by intensity:
d_spacing  2θ (°)  Rel. int.
3.060  29.18  100.0
2.964  30.16  99.9
2.482  36.19  93.1
2.122  42.62  70.1
1.898  47.94  69.5
3.567  24.97  61.7
1.894  48.04  52.1
2.428  37.02  51.7
2.703  33.14  49.1
2.228  40.48  40.6
1.743  52.49  40.6
4.144  21.44  38.9

Structure:
a = 16.5773 Å, b = 4.2430 Å, c = 6.5851 Å
α = 90.00°, β = 90.00°, γ = 90.00°
Positions (direct):
Y  0.1439  0.2500  0.0252
Y  0.3561  0.7500  0.5252
Y  0.6439  0.2500  0.4748
Y  0.8561  0.7500  0.9748
Si  0.0407  0.7500  0.8582
Si  0.0623  0.2500  0.4605
Si  0.1770  0.7500  0.3382
Si  0.1877  0.7500  0.7378
Si  0.3123  0.2500  0.2378
Si  0.3230  0.2500  0.8382
Si  0.4377  0.7500  0.9605
Si  0.4593  0.2500  0.3582
Si  0.5407  0.7500  0.6418
Si  0.5623  0.2500  0.0395
Si  0.6770  0.7500  0.1618
Si  0.6877  0.7500  0.7622
Si  0.8123  0.2500  0.2622
Si  0.8230  0.2500  0.6618
Si  0.9377  0.7500  0.5395
Si  0.9593  0.2500  0.1418
Pt  0.0259  0.7500  0.2399
Pt  0.2104  0.2500  0.5450
Pt  0.2896  0.7500  0.0450
Pt  0.4741  0.2500  0.7399
Pt  0.5259  0.7500  0.2601
Pt  0.7104  0.2500  0.9550
Pt  0.7896  0.7500  0.4550
Pt  0.9741  0.2500  0.7601

***

Entry 3:
Structure and simulated X-ray powder pattern of Y4SiPt (a cell relaxed with PBE; Cu Kα (weighted mean of Kα1 and Kα2)).
Neutral-atom scattering factors, no anomalous dispersion.

Top 12 peaks for 2θ = 10–90°, by intensity:
d_spacing  2θ (°)  Rel. int.
2.552  35.16  100.0
2.443  36.78  36.7
1.629  56.49  33.8
2.993  29.86  29.5
1.496  62.02  25.2
1.102  88.79  21.8
4.232  20.99  18.7
4.887  18.15  18.1
1.276  74.33  13.4
1.728  53.00  11.9
1.291  73.34  11.5
1.893  48.07  8.8

Structure:
a = 5.9853 Å, b = 5.9853 Å, c = 5.9853 Å
α = 60.00°, β = 60.00°, γ = 60.00°
Positions (direct):
Y  0.1252  0.1252  0.1252
Y  0.1252  0.1252  0.6244
Y  0.1252  0.6244  0.1252
Y  0.6244  0.1252  0.1252
Si  0.5000  0.5000  0.5000
Pt  0.7500  0.7500  0.7500

***

Entry 4:
Structure and simulated X-ray powder pattern of YZnSi2Pt5 (a cell relaxed with PBE; Cu Kα (weighted mean of Kα1 and Kα2)).
Neutral-atom scattering factors, no anomalous dispersion.

Top 12 peaks for 2θ = 10–90°, by intensity:
d_spacing  2θ (°)  Rel. int.
3.497  25.47  100.0
2.754  32.51  98.8
1.748  52.33  75.6
1.931  47.05  72.2
2.507  35.81  71.2
2.018  44.91  69.7
1.322  71.37  51.6
2.211  40.81  43.7
1.148  84.39  27.2
1.427  65.39  22.8
1.267  74.94  18.4
3.767  23.61  17.9

Structure:
a = 4.0368 Å, b = 4.0368 Å, c = 10.4913 Å
α = 90.00°, β = 90.00°, γ = 90.00°
Positions (direct):
Y  0.0000  0.0000  0.0000
Zn  0.0000  0.0000  0.5000
Si  0.5000  0.5000  0.2234
Si  0.5000  0.5000  0.7766
Pt  0.0000  0.5000  0.3414
Pt  0.0000  0.5000  0.6586
Pt  0.5000  0.0000  0.3414
Pt  0.5000  0.0000  0.6586
Pt  0.5000  0.5000  0.0000

***

Entry 5:
Structure and simulated X-ray powder pattern of Yb2Si3Pt3 (a cell relaxed with PBE; Cu Kα (weighted mean of Kα1 and Kα2)).
Neutral-atom scattering factors, no anomalous dispersion.

Top 12 peaks for 2θ = 10–90°, by intensity:
d_spacing  2θ (°)  Rel. int.
2.821  31.72  100.0
1.896  47.97  52.8
6.830  12.96  45.8
1.995  45.47  37.2
2.561  35.03  31.8
1.574  58.65  30.6
4.098  21.69  24.0
2.324  38.75  22.7
1.132  85.86  20.6
2.608  34.39  19.0
1.262  75.32  17.0
1.236  77.19  15.8

Structure:
a = 2.8213 Å, b = 2.8213 Å, c = 20.4905 Å
α = 90.00°, β = 90.00°, γ = 90.00°
Positions (direct):
Yb  0.0000  0.0000  0.2475
Yb  0.0000  0.0000  0.7525
Si  0.0000  0.0000  0.0000
Si  0.0000  0.0000  0.3856
Si  0.0000  0.0000  0.6144
Pt  0.0000  0.0000  0.1120
Pt  0.0000  0.0000  0.5000
Pt  0.0000  0.0000  0.8880

***

Entry 6:
Structure and simulated X-ray powder pattern of SmPt6 (a cell relaxed with PBE; Cu Kα (weighted mean of Kα1 and Kα2)).
Neutral-atom scattering factors, no anomalous dispersion.

Top 12 peaks for 2θ = 10–90°, by intensity:
d_spacing  2θ (°)  Rel. int.
2.103  43.00  100.0
2.437  36.89  55.1
2.263  39.83  54.7
2.588  34.66  41.8
2.360  38.13  37.5
2.253  40.02  37.0
2.546  35.25  32.7
2.456  36.60  30.7
2.310  38.98  28.0
1.327  71.05  27.2
2.664  33.65  23.8
2.287  39.40  22.5

Structure:
a = 9.2842 Å, b = 5.3275 Å, c = 10.1848 Å
α = 90.00°, β = 90.00°, γ = 90.00°
Positions (direct):
Sm  0.2352  0.2500  0.0525
Sm  0.2648  0.7500  0.5525
Sm  0.7352  0.2500  0.4475
Sm  0.7648  0.7500  0.9475
Pt  0.0254  0.2500  0.5455
Pt  0.0459  0.5046  0.7751
Pt  0.0459  0.9954  0.7751
Pt  0.0836  0.7500  0.0135
Pt  0.1979  0.2500  0.3391
Pt  0.2013  0.7500  0.2654
Pt  0.2987  0.2500  0.7654
Pt  0.3021  0.7500  0.8391
Pt  0.4164  0.2500  0.5135
Pt  0.4541  0.0046  0.2751
Pt  0.4541  0.4954  0.2751
Pt  0.4746  0.7500  0.0455
Pt  0.5254  0.2500  0.9545
Pt  0.5459  0.5046  0.7249
Pt  0.5459  0.9954  0.7249
Pt  0.5836  0.7500  0.4865
Pt  0.6979  0.2500  0.1609
Pt  0.7013  0.7500  0.2346
Pt  0.7987  0.2500  0.7346
Pt  0.8021  0.7500  0.6609
Pt  0.9164  0.2500  0.9865
Pt  0.9541  0.0046  0.2249
Pt  0.9541  0.4954  0.2249
Pt  0.9746  0.7500  0.4545